Entry 1:
# CuTe2O5
Computed powder diffraction line list, Cu Kα X-rays. Input: DFT lattice parameters and positions (GGA-PBE).

Atomic structure:
```
data_CuTe2O5
_cell_length_a 6.975
_cell_length_b 9.502
_cell_length_c 7.653
_cell_angle_alpha 90.00
_cell_angle_beta 107.71
_cell_angle_gamma 90.00
_space_group_name_H-M_alt 'P 1 21/c 1'
_space_group_IT_number 14
loop_
_space_group_symop_operation_xyz
'x,y,z'
'-x,-y,-z'
'-x,y+1/2,-z+1/2'
'x,-y+1/2,z+1/2'
loop_
_atom_site_label
_atom_site_type_symbol
_atom_site_fract_x
_atom_site_fract_y
_atom_site_fract_z
Cu1 Cu 0.160 0.012 0.206
Te1 Te 0.150 0.678 0.060
Te2 Te 0.365 0.204 0.910
O1 O 0.006 0.609 0.822
O2 O 0.118 0.626 0.508
O3 O 0.178 0.146 0.409
O4 O 0.362 0.134 0.146
O5 O 0.400 0.682 0.969
```

Main lines, low angle first (5 to 70 degrees two-theta):
(hkl)  2θ (°)  Rel. int.
0 2 0  18.68  47.7
1 1 1  22.69  23.1
0 1 2  26.18  71.9
1 2 1  27.98  43.0
2 1 0  28.46  100.0
2 0 -2  30.40  30.4
0 2 2  30.92  49.8
2 1 -2  31.85  46.3
1 3 -1  32.10  81.5
1 4 1  43.52  32.9



Entry 2:
# Be3Pd
Computed powder diffraction line list, Cu Kα X-rays. Input: DFT lattice parameters and positions (GGA-PBE).

Atomic structure:
```
data_Be3Pd
_cell_length_a 3.321
_cell_length_b 3.321
_cell_length_c 7.203
_cell_angle_alpha 90.00
_cell_angle_beta 90.00
_cell_angle_gamma 90.00
_space_group_name_H-M_alt 'I 4/m m m'
_space_group_IT_number 139
_space_group_name_Hall '-I 4 2'
loop_
_atom_site_label
_atom_site_type_symbol
_atom_site_fract_x
_atom_site_fract_y
_atom_site_fract_z
Be1 Be 0.000 0.000 0.000
Be2 Be 0.000 0.500 0.250
Pd1 Pd 0.000 0.000 0.500
```

Main lines, low angle first (5 to 70 degrees two-theta):
(hkl)  2θ (°)  Rel. int.
0 0 2  24.72  39.5
1 0 1  29.62  100.0
1 1 0  38.33  25.0
1 1 2  46.15  44.0
1 0 3  46.68  28.4
0 0 4  50.69  8.3
2 0 0  55.33  12.7
2 0 2  61.50  12.2
2 1 1  64.02  21.5
1 1 4  65.30  10.1



Entry 3:
# ZrSn
Computed powder diffraction line list, Cu Kα X-rays. Input: DFT lattice parameters and positions (GGA-PBE).

Atomic structure:
```
data_ZrSn
_cell_length_a 5.320
_cell_length_b 9.602
_cell_length_c 5.482
_cell_angle_alpha 90.00
_cell_angle_beta 90.00
_cell_angle_gamma 90.00
_space_group_name_H-M_alt 'P m c 21'
_space_group_IT_number 26
loop_
_space_group_symop_operation_xyz
'x,y,z'
'-x,-y,z+1/2'
'-x,y,z'
'x,-y,z+1/2'
loop_
_atom_site_label
_atom_site_type_symbol
_atom_site_fract_x
_atom_site_fract_y
_atom_site_fract_z
Zr1 Zr 0.000 0.080 0.000
Zr2 Zr 0.000 0.411 0.061
Zr3 Zr 0.500 0.095 0.427
Sn1 Sn 0.000 0.248 0.535
Sn2 Sn 0.500 0.224 0.921
Sn3 Sn 0.500 0.438 0.371
```

Main lines, low angle first (5 to 70 degrees two-theta):
(hkl)  2θ (°)  Rel. int.
0 3 1  32.39  12.6
0 0 2  32.67  23.6
2 0 0  33.70  41.4
1 3 1  36.64  100.0
1 0 2  36.89  30.5
2 3 1  47.43  8.9
2 0 2  47.64  13.6
0 3 3  58.13  11.1
3 3 1  62.20  21.6
2 3 3  68.90  13.5



Entry 4:
# Y5Pt3
Computed powder diffraction line list, Cu Kα X-rays. Input: DFT lattice parameters and positions (GGA-PBE).

Atomic structure:
```
data_Y5Pt3
_cell_length_a 8.5117
_cell_length_b 8.5117
_cell_length_c 6.2064
_cell_angle_alpha 90.00
_cell_angle_beta 90.00
_cell_angle_gamma 120.00
_space_group_name_H-M_alt 'P 63/m c m'
_space_group_IT_number 193
_space_group_name_Hall '-P 6c 2'
loop_
_atom_site_label
_atom_site_type_symbol
_atom_site_fract_x
_atom_site_fract_y
_atom_site_fract_z
Y1 Y 0.0000 0.2475 0.2500
Y2 Y 0.3333 0.6667 0.0000
Pt1 Pt 0.0000 0.3949 0.7500
```

Main lines, low angle first (5 to 70 degrees two-theta):
(hkl)  2θ (°)  Rel. int.
1 0 0  12.01  20.4
1 1 1  25.38  36.1
0 0 2  28.77  34.4
2 1 0  32.13  15.9
2 1 1  35.31  100.0
1 1 2  35.81  72.2
3 0 0  36.57  45.8
2 0 2  37.90  18.5
3 1 1  46.78  36.1
2 1 3  55.31  27.5



Entry 5:
# Ba9La3Mg5Nb7O36
Computed powder diffraction line list, Cu Kα X-rays. Input: DFT lattice parameters and positions (GGA-PBE).

Atomic structure:
```
data_Ba9La3Mg5Nb7O36
_cell_length_a 5.817
_cell_length_b 17.446
_cell_length_c 8.231
_cell_angle_alpha 90.00
_cell_angle_beta 90.00
_cell_angle_gamma 90.00
_space_group_name_H-M_alt 'P m m 2'
_space_group_IT_number 25
loop_
_space_group_symop_operation_xyz
'x,y,z'
'-x,-y,z'
'-x,y,z'
'x,-y,z'
loop_
_atom_site_label
_atom_site_type_symbol
_atom_site_fract_x
_atom_site_fract_y
_atom_site_fract_z
Ba1 Ba 0.000 0.000 0.000
Ba2 Ba 0.000 0.000 0.485
Ba3 Ba 0.000 0.337 0.491
Ba4 Ba 0.500 0.170 0.485
Ba5 Ba 0.500 0.170 0.999
Ba6 Ba 0.500 0.500 0.990
La1 La 0.000 0.335 0.010
La2 La 0.500 0.500 0.495
Mg1 Mg 0.000 0.167 0.242
Mg2 Mg 0.000 0.500 0.241
Mg3 Mg 0.500 0.336 0.743
Nb1 Nb 0.000 0.175 0.744
Nb2 Nb 0.000 0.500 0.744
Nb3 Nb 0.500 0.000 0.241
Nb4 Nb 0.500 0.000 0.743
Nb5 Nb 0.500 0.336 0.240
O1 O 0.000 0.166 0.503
O2 O 0.000 0.168 0.985
O3 O 0.000 0.500 0.495
O4 O 0.000 0.500 0.987
O5 O 0.243 0.250 0.749
O6 O 0.246 0.256 0.230
O7 O 0.246 0.419 0.740
O8 O 0.252 0.416 0.237
O9 O 0.255 0.082 0.743
O10 O 0.259 0.081 0.243
O11 O 0.500 0.000 0.496
O12 O 0.500 0.000 0.990
O13 O 0.500 0.335 0.995
O14 O 0.500 0.341 0.484
```

Main lines, low angle first (5 to 70 degrees two-theta):
(hkl)  2θ (°)  Rel. int.
0 3 1  18.68  6.6
1 3 0  21.60  8.0
2 0 0  30.74  100.0
1 0 3  36.21  3.2
2 0 2  37.88  15.0
2 6 0  44.03  33.0
1 9 0  49.55  4.2
3 3 2  54.65  39.0
4 0 0  64.02  19.7
3 9 0  68.42  2.2



Entry 6:
# Nd2MgCuO4
Computed powder diffraction line list, Cu Kα X-rays. Input: DFT lattice parameters and positions (GGA-PBE).

Atomic structure:
```
data_Nd2MgCuO4
_cell_length_a 5.778
_cell_length_b 5.780
_cell_length_c 9.273
_cell_angle_alpha 90.00
_cell_angle_beta 107.78
_cell_angle_gamma 90.00
_space_group_name_H-M_alt 'C 1 2/m 1'
_space_group_IT_number 12
loop_
_space_group_symop_operation_xyz
'x,y,z'
'-x,-y,-z'
'-x,y,-z'
'x,-y,z'
'x+1/2,y+1/2,z'
'-x+1/2,-y+1/2,-z'
'-x+1/2,y+1/2,-z'
'x+1/2,-y+1/2,z'
loop_
_atom_site_label
_atom_site_type_symbol
_atom_site_fract_x
_atom_site_fract_y
_atom_site_fract_z
Nd1 Nd 0.189 0.000 0.375
Mg1 Mg 0.000 0.000 0.000
Cu1 Cu 0.000 0.500 0.000
O1 O 0.000 0.248 0.500
O2 O 0.250 0.250 0.000
```

Main lines, low angle first (5 to 70 degrees two-theta):
(hkl)  2θ (°)  Rel. int.
0 0 1  10.02  53.6
0 0 2  20.11  29.2
1 1 1  26.50  100.0
1 1 -2  26.61  99.8
0 0 3  30.37  33.2
0 2 0  30.95  69.4
1 1 2  33.46  28.5
2 2 -1  44.34  51.3
1 3 1  52.36  35.1
3 1 -3  52.49  30.8



Entry 7:
# Tb2BiO2
Computed powder diffraction line list, Cu Kα X-rays. Input: DFT lattice parameters and positions (GGA-PBE).

Atomic structure:
```
data_Tb2BiO2
_cell_length_a 3.912
_cell_length_b 3.912
_cell_length_c 13.631
_cell_angle_alpha 90.00
_cell_angle_beta 90.00
_cell_angle_gamma 90.00
_space_group_name_H-M_alt 'I 4/m m m'
_space_group_IT_number 139
_space_group_name_Hall '-I 4 2'
loop_
_atom_site_label
_atom_site_type_symbol
_atom_site_fract_x
_atom_site_fract_y
_atom_site_fract_z
Tb1 Tb 0.000 0.000 0.168
Bi1 Bi 0.000 0.000 0.500
O1 O 0.000 0.500 0.250
```

Main lines, low angle first (5 to 70 degrees two-theta):
(hkl)  2θ (°)  Rel. int.
1 0 1  23.66  1.6
1 0 3  30.14  100.0
1 1 0  32.36  36.3
0 0 6  39.67  10.6
2 0 0  46.42  17.3
1 1 6  52.09  24.6
2 1 3  56.35  35.1
2 0 6  62.67  11.5
1 0 9  66.16  10.8
2 2 0  67.74  5.6



Entry 8:
# TaNbV
Computed powder diffraction line list, Cu Kα X-rays. Input: DFT lattice parameters and positions (GGA-PBE).

Atomic structure:
```
data_TaNbV
_cell_length_a 3.242
_cell_length_b 4.671
_cell_length_c 13.291
_cell_angle_alpha 90.00
_cell_angle_beta 90.00
_cell_angle_gamma 90.00
_space_group_name_H-M_alt 'F m m 2'
_space_group_IT_number 42
_space_group_name_Hall 'F 2 -2'
loop_
_atom_site_label
_atom_site_type_symbol
_atom_site_fract_x
_atom_site_fract_y
_atom_site_fract_z
Ta1 Ta 0.000 0.000 0.000
Nb1 Nb 0.000 0.000 0.318
V1 V 0.000 0.000 0.659
```

Main lines, low angle first (5 to 70 degrees two-theta):
(hkl)  2θ (°)  Rel. int.
0 0 2  13.32  30.1
0 0 4  26.83  13.8
1 1 1  34.34  20.5
0 2 0  38.55  27.2
1 1 3  39.48  100.0
0 0 6  40.73  21.7
0 2 4  47.59  6.1
2 0 0  56.79  8.6
0 2 6  57.32  15.7
1 1 7  59.82  8.4



Copy entry 1 word for word.
# CuTe2O5
Computed powder diffraction line list, Cu Kα X-rays. Input: DFT lattice parameters and positions (GGA-PBE).

Atomic structure:
```
data_CuTe2O5
_cell_length_a 6.975
_cell_length_b 9.502
_cell_length_c 7.653
_cell_angle_alpha 90.00
_cell_angle_beta 107.71
_cell_angle_gamma 90.00
_space_group_name_H-M_alt 'P 1 21/c 1'
_space_group_IT_number 14
loop_
_space_group_symop_operation_xyz
'x,y,z'
'-x,-y,-z'
'-x,y+1/2,-z+1/2'
'x,-y+1/2,z+1/2'
loop_
_atom_site_label
_atom_site_type_symbol
_atom_site_fract_x
_atom_site_fract_y
_atom_site_fract_z
Cu1 Cu 0.160 0.012 0.206
Te1 Te 0.150 0.678 0.060
Te2 Te 0.365 0.204 0.910
O1 O 0.006 0.609 0.822
O2 O 0.118 0.626 0.508
O3 O 0.178 0.146 0.409
O4 O 0.362 0.134 0.146
O5 O 0.400 0.682 0.969
```

Main lines, low angle first (5 to 70 degrees two-theta):
(hkl)  2θ (°)  Rel. int.
0 2 0  18.68  47.7
1 1 1  22.69  23.1
0 1 2  26.18  71.9
1 2 1  27.98  43.0
2 1 0  28.46  100.0
2 0 -2  30.40  30.4
0 2 2  30.92  49.8
2 1 -2  31.85  46.3
1 3 -1  32.10  81.5
1 4 1  43.52  32.9



Q: What is the formula in the seventh record?
A: Tb2BiO2